This entry pairs a crystal structure of K3ErCr2O8 with its calculated XRD peak list. Radiation: Cu Kα (λ = 1.5418 Å). Structure: the GGA+U geometry in Alexandria.
Intensities are scaled so that the largest is 100.

Structure:
a = 5.939 Å, b = 5.939 Å, c = 7.647 Å
α = 90.00°, β = 90.00°, γ = 120.00°
Atoms (fractional coordinates):
K 0.000 0.000 0.000
K 0.333 0.667 0.684
K 0.667 0.333 0.316
Er 0.000 0.000 0.500
Cr 0.333 0.667 0.243
Cr 0.667 0.333 0.757
O 0.175 0.350 0.327
O 0.175 0.825 0.327
O 0.333 0.667 0.025
O 0.350 0.175 0.673
O 0.650 0.825 0.327
O 0.667 0.333 0.975
O 0.825 0.175 0.673
O 0.825 0.650 0.673

The 10 most intense peaks (15 to 90 degrees two-theta), in order of falling intensity:
h k l  2θ/deg  d (Å)  Rel. int.
1 1 0  30.09  2.970  100
0 1 2  29.10  3.069  99
1 0 1  20.81  4.268  67
2 0 2  42.36  2.134  52
1 2 2  52.83  1.733  34
1 0 0  17.24  5.144  25
1 1 4  57.32  1.607  22
3 0 0  53.44  1.715  18
0 1 3  39.45  2.284  18
2 2 0  62.56  1.485  18